No. 1
Computed powder XRD pattern
Compound: Th8Au3C3N
Radiation: a wavelength of 1.5418 Å
Structure: a structure optimized by DFT (PBE)
No peak broadening, texture or thermal motion is included.

Main lines, low angle first (2θ = 15–90°):
28.62°, intensity 21; 31.94°, intensity 100; 34.16°, intensity 26; 36.36°, intensity 21; 48.66°, intensity 25; 62.13°, intensity 18

Cell: 7.485 7.485 8.569 Å, 115.71 115.71 60.20°
Fractional positions:
Th: 0.229 0.733 0.694
Th: 0.232 0.232 0.696
Th: 0.267 0.771 0.306
Th: 0.268 0.268 0.306
Th: 0.732 0.732 0.694
Th: 0.733 0.229 0.694
Th: 0.768 0.768 0.304
Th: 0.771 0.267 0.306
Au: 0.000 0.500 0.000
Au: 0.500 0.000 0.000
Au: 0.500 0.500 0.000
C: 0.000 0.000 0.500
C: 0.000 0.500 0.500
C: 0.500 0.000 0.500
N: 0.500 0.500 0.500

=====

No. 2
Computed powder XRD pattern
Compound: AlCu5Pt8
Radiation: a wavelength of 1.5418 Å
Structure: a structure optimized by DFT (PBE)
No peak broadening, texture or thermal motion is included.

Main lines, low angle first (2θ = 15–90°):
29.37°, intensity 90; 37.23°, intensity 68; 38.29°, intensity 58; 38.42°, intensity 83; 44.80°, intensity 100; 45.37°, intensity 65

Cell: 6.491 6.491 6.491 Å, 110.40 110.40 107.62°
Fractional positions:
Al: 0.000 0.000 0.000
Cu: 0.219 0.034 0.587
Cu: 0.368 0.781 0.815
Cu: 0.447 0.632 0.413
Cu: 0.750 0.250 0.500
Cu: 0.966 0.553 0.185
Pt: 0.100 0.313 0.411
Pt: 0.174 0.409 0.902
Pt: 0.311 0.900 0.213
Pt: 0.507 0.272 0.098
Pt: 0.591 0.493 0.765
Pt: 0.687 0.098 0.787
Pt: 0.728 0.826 0.235
Pt: 0.902 0.689 0.589

=====

No. 3
Computed powder XRD pattern
Compound: Pm2Sm6Dy3Mg
Radiation: a wavelength of 1.5418 Å
Structure: a structure optimized by DFT (PBE)
No peak broadening, texture or thermal motion is included.

Main lines, low angle first (2θ = 15–90°):
30.57°, intensity 100; 30.69°, intensity 33; 35.48°, intensity 67; 50.97°, intensity 24; 51.13°, intensity 24; 60.64°, intensity 33

Cell: 6.208 6.208 11.835 Å, 95.03 95.03 120.04°
Fractional positions:
Pm: 0.167 0.833 0.000
Pm: 0.833 0.167 0.000
Sm: 0.086 0.417 0.749
Sm: 0.252 0.252 0.252
Sm: 0.417 0.086 0.749
Sm: 0.583 0.914 0.251
Sm: 0.748 0.748 0.748
Sm: 0.914 0.583 0.251
Dy: 0.000 0.000 0.500
Dy: 0.334 0.666 0.500
Dy: 0.666 0.334 0.500
Mg: 0.500 0.500 0.000

=====

No. 4
Computed powder XRD pattern
Compound: H5Pd7Au
Radiation: a wavelength of 1.5418 Å
Structure: a structure optimized by DFT (PBE)
No peak broadening, texture or thermal motion is included.

Main lines, low angle first (2θ = 15–90°):
36.21°, intensity 59; 36.45°, intensity 64; 37.28°, intensity 55; 38.15°, intensity 100; 39.98°, intensity 34; 46.50°, intensity 55

Cell: 3.906 5.013 16.503 Å, 95.12 90.36 112.86°
Fractional positions:
H: 0.000 0.000 0.000
H: 0.046 0.160 0.874
H: 0.108 0.166 0.375
H: 0.156 0.394 0.506
H: 0.237 0.597 0.952
H: 0.407 0.732 0.805
H: 0.489 0.930 0.249
H: 0.647 0.335 0.755
H: 0.785 0.542 0.312
H: 0.857 0.786 0.444
Pd: 0.056 0.617 0.224
Pd: 0.115 0.740 0.045
Pd: 0.265 0.034 0.793
Pd: 0.298 0.095 0.469
Pd: 0.352 0.235 0.282
Pd: 0.392 0.294 0.960
Pd: 0.525 0.591 0.709
Pd: 0.584 0.712 0.531
Pd: 0.660 0.854 0.348
Pd: 0.668 0.865 0.914
Pd: 0.752 0.993 0.161
Pd: 0.888 0.337 0.593
Pd: 0.967 0.470 0.843
Pd: 0.973 0.472 0.408
Au: 0.199 0.950 0.634
Au: 0.441 0.380 0.119

=====

No. 5
Computed powder XRD pattern
Compound: AcLa14Pu
Radiation: a wavelength of 1.5418 Å
Structure: a structure optimized by DFT (PBE)
No peak broadening, texture or thermal motion is included.

Main lines, low angle first (2θ = 15–90°):
29.46°, intensity 100; 34.07°, intensity 34; 34.33°, intensity 17; 49.14°, intensity 24; 58.17°, intensity 29; 58.51°, intensity 14

Cell: 10.450 7.444 7.444 Å, 90.01 90.00 90.00°
Fractional positions:
Ac: 0.000 0.000 0.000
La: 0.000 0.500 0.999
La: 0.000 0.999 0.500
La: 0.246 0.256 0.743
La: 0.246 0.257 0.257
La: 0.246 0.742 0.742
La: 0.246 0.743 0.256
La: 0.500 0.000 0.498
La: 0.500 0.498 0.000
La: 0.500 0.500 0.500
La: 0.500 0.999 0.999
La: 0.754 0.256 0.743
La: 0.754 0.257 0.257
La: 0.754 0.742 0.742
La: 0.754 0.743 0.256
Pu: 0.000 0.499 0.499

=====

No. 6
Computed powder XRD pattern
Compound: SmCd4Ag2
Radiation: a wavelength of 1.5418 Å
Structure: a structure optimized by DFT (PBE)
No peak broadening, texture or thermal motion is included.

Main lines, low angle first (2θ = 15–90°):
31.34°, intensity 64; 34.22°, intensity 100; 36.37°, intensity 36; 36.49°, intensity 36; 39.77°, intensity 46; 40.37°, intensity 41

Cell: 9.239 7.438 5.590 Å, 90.00 126.94 90.00°
Fractional positions:
Sm: 0.000 0.000 0.000
Sm: 0.500 0.500 0.000
Cd: 0.196 0.195 0.697
Cd: 0.196 0.805 0.697
Cd: 0.304 0.305 0.303
Cd: 0.304 0.695 0.303
Cd: 0.696 0.305 0.697
Cd: 0.696 0.695 0.697
Cd: 0.804 0.195 0.303
Cd: 0.804 0.805 0.303
Ag: 0.000 0.500 0.251
Ag: 0.000 0.500 0.749
Ag: 0.500 0.000 0.251
Ag: 0.500 0.000 0.749

=====

No. 7
Computed powder XRD pattern
Compound: Er3C2Cl
Radiation: a wavelength of 1.5418 Å
Structure: a structure optimized by DFT (PBE)
No peak broadening, texture or thermal motion is included.

Main lines, low angle first (2θ = 15–90°):
29.06°, intensity 41; 29.45°, intensity 45; 29.99°, intensity 98; 34.13°, intensity 49; 34.45°, intensity 100; 49.53°, intensity 32

Cell: 6.498 6.498 10.508 Å, 114.59 114.59 32.32°
Fractional positions:
Er: 0.026 0.026 0.275
Er: 0.336 0.336 0.431
Er: 0.360 0.360 0.904
Er: 0.640 0.640 0.096
Er: 0.664 0.664 0.569
Er: 0.974 0.974 0.725
C: 0.000 0.000 0.000
C: 0.000 0.000 0.500
C: 0.334 0.334 0.667
C: 0.666 0.666 0.333
Cl: 0.329 0.329 0.157
Cl: 0.671 0.671 0.843

=====

No. 8
Computed powder XRD pattern
Compound: Mg2H5Ir3
Radiation: a wavelength of 1.5418 Å
Structure: a structure optimized by DFT (PBE)
No peak broadening, texture or thermal motion is included.

Main lines, low angle first (2θ = 15–90°):
25.36°, intensity 78; 35.84°, intensity 94; 38.45°, intensity 52; 39.22°, intensity 92; 42.20°, intensity 75; 42.42°, intensity 100

Cell: 2.950 4.817 7.277 Å, 80.38 78.38 89.97°
Fractional positions:
Mg: 0.000 0.000 0.000
Mg: 0.179 0.621 0.640
H: 0.575 0.277 0.848
H: 0.597 0.797 0.805
H: 0.737 0.436 0.523
H: 0.815 0.795 0.372
H: 0.981 0.543 0.035
Ir: 0.342 0.018 0.317
Ir: 0.667 0.114 0.665
Ir: 0.866 0.479 0.266

=====

No. 9
Computed powder XRD pattern
Compound: LaPuTl4
Radiation: a wavelength of 1.5418 Å
Structure: a structure optimized by DFT (PBE)
No peak broadening, texture or thermal motion is included.

Main lines, low angle first (2θ = 15–90°):
28.43°, intensity 24; 33.47°, intensity 100; 35.01°, intensity 43; 53.63°, intensity 36; 58.83°, intensity 32; 83.66°, intensity 23

Cell: 6.279 6.279 6.279 Å, 60.00 60.00 60.00°
Fractional positions:
La: 0.000 0.000 0.000
Pu: 0.750 0.750 0.750
Tl: 0.375 0.375 0.375
Tl: 0.375 0.375 0.875
Tl: 0.375 0.875 0.375
Tl: 0.875 0.375 0.375

=====

No. 10
Computed powder XRD pattern
Compound: LiTlCuBr3
Radiation: a wavelength of 1.5418 Å
Structure: a structure optimized by DFT (PBE)
No peak broadening, texture or thermal motion is included.

Main lines, low angle first (2θ = 15–90°):
15.94°, intensity 47; 24.20°, intensity 29; 28.11°, intensity 26; 29.24°, intensity 100; 29.95°, intensity 76; 30.24°, intensity 41

Cell: 8.955 4.066 9.556 Å, 90.00 106.07 90.00°
Fractional positions:
Li: 0.148 0.250 0.126
Li: 0.852 0.750 0.874
Tl: 0.304 0.750 0.781
Tl: 0.696 0.250 0.219
Cu: 0.434 0.750 0.420
Cu: 0.566 0.250 0.580
Br: 0.042 0.250 0.841
Br: 0.282 0.250 0.466
Br: 0.376 0.750 0.148
Br: 0.624 0.250 0.852
Br: 0.718 0.750 0.534
Br: 0.958 0.750 0.159

=====

No. 11
Computed powder XRD pattern
Compound: TbTm3Pd12
Radiation: a wavelength of 1.5418 Å
Structure: a structure optimized by DFT (PBE)
No peak broadening, texture or thermal motion is included.

Main lines, low angle first (2θ = 15–90°):
37.97°, intensity 100; 44.01°, intensity 16; 44.19°, intensity 33; 64.14°, intensity 21; 76.90°, intensity 12; 77.16°, intensity 25

Cell: 4.099 4.099 16.459 Å, 90.00 90.00 90.00°
Fractional positions:
Tb: 0.000 0.000 0.000
Tm: 0.000 0.000 0.252
Tm: 0.000 0.000 0.500
Tm: 0.000 0.000 0.748
Pd: 0.000 0.500 0.127
Pd: 0.000 0.500 0.376
Pd: 0.000 0.500 0.624
Pd: 0.000 0.500 0.873
Pd: 0.500 0.000 0.127
Pd: 0.500 0.000 0.376
Pd: 0.500 0.000 0.624
Pd: 0.500 0.000 0.873
Pd: 0.500 0.500 0.000
Pd: 0.500 0.500 0.251
Pd: 0.500 0.500 0.500
Pd: 0.500 0.500 0.749